Diffraction record for Na3Te. The powder X-ray diffraction pattern is computed, not measured: it uses the PBE geometry in Alexandria and CuKα.
Intensities are scaled so that the largest is 100.

Crystal structure
a b c (Å): 4.8731 4.8731 4.8731
angles (deg): 90.00 90.00 90.00
Atoms (fractional coordinates):
1 Na 0.0000 0.0000 0.5000
2 Na 0.0000 0.5000 0.0000
3 Na 0.5000 0.0000 0.0000
4 Te 0.5000 0.5000 0.5000

Top 8 peaks for 10 to 90 degrees two-theta, by angle:
(1 0 0), 2θ 18.20, I 74.9; (1 1 0), 2θ 25.86, I 64.3; (1 1 1), 2θ 31.81, I 100.0; (2 0 0), 2θ 36.89, I 49.8; (2 1 0), 2θ 41.43, I 36.5; (2 1 1), 2θ 45.60, I 27.8; (2 2 0), 2θ 53.16, I 33.5; (3 1 1), 2θ 63.29, I 38.4